Starting from a cell relaxed with PBE, the PXRD pattern of CaPtS2O8 was calculated for Cu Kα.
Peak positions follow from Bragg's law for the DFT cell and can differ from measured ones.

Atomic structure:
```
CaPtS2O8
1.0
5.184 0.000 0.000
-2.592 4.489 0.000
0.000 0.000 7.177
Ca Pt S O
1 1 2 8
Direct
0.000 0.000 0.000
0.000 0.000 0.500
0.333 0.667 0.208
0.667 0.333 0.792
0.175 0.349 0.272
0.175 0.825 0.272
0.333 0.667 0.003
0.349 0.175 0.728
0.651 0.825 0.272
0.667 0.333 0.997
0.825 0.175 0.728
0.825 0.651 0.728
```

The 8 most intense peaks (10° ≤ 2θ ≤ 90°), most intense first:
23.37°, I 100
19.78°, I 69
31.93°, I 64
34.61°, I 42
47.80°, I 32
43.05°, I 29
60.34°, I 19
12.33°, I 19

=====

Starting from a cell relaxed with PBE, the PXRD pattern of Ca2SmPtO6 was calculated for Cu Kα.
Peak positions follow from Bragg's law for the DFT cell and can differ from measured ones.

Atomic structure:
```
Ca2SmPtO6
1.0
5.676 0.000 0.000
0.000 5.895 0.000
-5.547 0.000 8.150
Ca Sm Pt O
4 2 2 12
Direct
0.231 0.057 0.250
0.231 0.443 0.750
0.769 0.557 0.250
0.769 0.943 0.750
0.500 0.000 0.000
0.500 0.500 0.500
0.000 0.000 0.500
0.000 0.500 0.000
0.109 0.217 0.933
0.109 0.283 0.433
0.223 0.686 0.939
0.223 0.814 0.439
0.349 0.052 0.729
0.349 0.448 0.229
0.651 0.552 0.771
0.651 0.948 0.271
0.777 0.186 0.561
0.777 0.314 0.061
0.891 0.717 0.567
0.891 0.783 0.067
```

The 8 most intense peaks (10° ≤ 2θ ≤ 90°), most intense first:
21.76°, I 100
30.80°, I 57
31.17°, I 56
30.32°, I 28
44.31°, I 27
31.53°, I 25
44.47°, I 14
56.14°, I 14

=====

Starting from a cell relaxed with PBE, the PXRD pattern of Ca2TcPtO6 was calculated for Cu Kα.
Peak positions follow from Bragg's law for the DFT cell and can differ from measured ones.

Atomic structure:
```
Ca2TcPtO6
1.0
5.533 0.000 0.000
0.000 5.533 0.000
0.000 0.000 4.360
Ca Tc Pt O
2 1 1 6
Direct
0.000 0.500 0.000
0.500 0.000 0.000
0.000 0.000 0.562
0.500 0.500 0.617
0.000 0.000 0.142
0.241 0.241 0.677
0.241 0.759 0.677
0.500 0.500 0.127
0.759 0.241 0.677
0.759 0.759 0.677
```

The 8 most intense peaks (10° ≤ 2θ ≤ 90°), most intense first:
30.70°, I 100
22.73°, I 57
32.36°, I 47
20.37°, I 42
56.69°, I 35
46.42°, I 32
47.76°, I 23
53.52°, I 19

=====

> What is the formula in the first record?

CaPtS2O8